Structure and computed XRD peak list of Li6PmPb6 (a cell relaxed with PBE; CuKα).

Structural model:
```
data_Li6PmPb6
_cell_length_a 5.951
_cell_length_b 9.644
_cell_length_c 10.312
_cell_angle_alpha 90.00
_cell_angle_beta 90.00
_cell_angle_gamma 90.00
_space_group_name_H-M_alt 'I m m m'
_space_group_IT_number 71
_space_group_name_Hall '-I 2 2'
loop_
_atom_site_label
_atom_site_type_symbol
_atom_site_fract_x
_atom_site_fract_y
_atom_site_fract_z
_atom_site_occupancy
Li1 Li 0.000 0.248 0.000 1
Li2 Li 0.250 0.250 0.250 1
Pm1 Pm 0.000 0.500 0.500 1
Pb1 Pb 0.000 0.000 0.166 1
Pb2 Pb 0.000 0.158 0.500 1
Pb3 Pb 0.000 0.500 0.164 1
```

Most intense lines, 5 to 70 degrees two-theta, sorted by position:
index, 2θ (°), I_rel
0 2 0, 18.40, 34
1 2 1, 25.29, 28
2 0 0, 30.03, 100
2 2 0, 35.45, 46
1 4 1, 41.34, 14
3 0 3, 53.32, 21
4 0 0, 62.41, 14
2 6 0, 66.07, 22

=====

Structure and computed XRD peak list of Li5Pm3Pb6 (a cell relaxed with PBE; CuKα).

Structural model:
```
data_Li5Pm3Pb6
_cell_length_a 4.798
_cell_length_b 13.830
_cell_length_c 10.475
_cell_angle_alpha 90.00
_cell_angle_beta 90.00
_cell_angle_gamma 90.00
_space_group_name_H-M_alt 'P m m n'
_space_group_IT_number 59
loop_
_space_group_symop_operation_xyz
'x,y,z'
'-x,-y,-z'
'-x+1/2,-y+1/2,z'
'x+1/2,y+1/2,-z'
'x+1/2,-y,-z'
'-x+1/2,y,z'
'-x,y+1/2,-z'
'x,-y+1/2,z'
loop_
_atom_site_label
_atom_site_type_symbol
_atom_site_fract_x
_atom_site_fract_y
_atom_site_fract_z
_atom_site_occupancy
Li1 Li 0.250 0.103 0.110 1
Li2 Li 0.250 0.609 0.480 1
Li3 Li 0.250 0.750 0.240 1
Pm1 Pm 0.250 0.045 0.749 1
Pm2 Pm 0.250 0.750 0.762 1
Pb1 Pb 0.250 0.092 0.365 1
Pb2 Pb 0.250 0.250 0.580 1
Pb3 Pb 0.250 0.250 0.940 1
Pb4 Pb 0.250 0.592 0.026 1
```

Most intense lines, 5 to 70 degrees two-theta, sorted by position:
index, 2θ (°), I_rel
1 1 1, 21.35, 35
0 3 2, 25.75, 25
1 3 1, 28.16, 50
1 3 2, 31.89, 100
0 3 3, 32.16, 26
1 4 1, 33.06, 39
1 2 3, 34.31, 35
2 0 0, 37.50, 50

=====

Structure and computed XRD peak list of Li3PmPb3 (a cell relaxed with PBE; CuKα).

Structural model:
```
data_Li3PmPb3
_cell_length_a 7.264
_cell_length_b 7.264
_cell_length_c 7.264
_cell_angle_alpha 90.00
_cell_angle_beta 90.00
_cell_angle_gamma 90.00
_space_group_name_H-M_alt 'P m -3 n'
_space_group_IT_number 223
_space_group_name_Hall '-P 4n 2 3'
loop_
_atom_site_label
_atom_site_type_symbol
_atom_site_fract_x
_atom_site_fract_y
_atom_site_fract_z
_atom_site_occupancy
Li1 Li 0.000 0.250 0.500 1
Pm1 Pm 0.000 0.000 0.000 1
Pb1 Pb 0.000 0.500 0.250 1
```

Most intense lines, 5 to 70 degrees two-theta, sorted by position:
index, 2θ (°), I_rel
2 0 0, 24.51, 27
2 1 0, 27.46, 100
2 1 1, 30.14, 64
3 2 0, 45.00, 27
3 2 1, 46.79, 39
4 0 0, 50.24, 19
4 2 1, 58.20, 26
5 2 0, 69.71, 23

=====

Structure and computed XRD peak list of Li2PmPb4 (a cell relaxed with PBE; CuKα).

Structural model:
```
data_Li2PmPb4
_cell_length_a 5.993
_cell_length_b 5.993
_cell_length_c 12.548
_cell_angle_alpha 90.00
_cell_angle_beta 90.00
_cell_angle_gamma 90.00
_space_group_name_H-M_alt 'I 4/m m m'
_space_group_IT_number 139
_space_group_name_Hall '-I 4 2'
loop_
_atom_site_label
_atom_site_type_symbol
_atom_site_fract_x
_atom_site_fract_y
_atom_site_fract_z
_atom_site_occupancy
Li1 Li 0.000 0.000 0.133 1
Pm1 Pm 0.000 0.000 0.500 1
Pb1 Pb 0.000 0.500 0.000 1
Pb2 Pb 0.000 0.500 0.250 1
```

Most intense lines, 5 to 70 degrees two-theta, sorted by position:
index, 2θ (°), I_rel
1 1 0, 20.96, 100
0 0 4, 28.45, 51
2 0 0, 29.82, 94
1 1 4, 35.61, 58
2 0 4, 41.68, 75
2 2 0, 42.67, 36
2 2 4, 52.09, 39
3 1 4, 56.75, 32

=====

Structure and computed XRD peak list of LiPm6Pb6 (a cell relaxed with PBE; CuKα).

Structural model:
```
data_LiPm6Pb6
_cell_length_a 6.6871
_cell_length_b 6.6871
_cell_length_c 10.6224
_cell_angle_alpha 90.00
_cell_angle_beta 90.00
_cell_angle_gamma 120.00
_space_group_name_H-M_alt 'P 6/m m m'
_space_group_IT_number 191
_space_group_name_Hall '-P 6 2'
loop_
_atom_site_label
_atom_site_type_symbol
_atom_site_fract_x
_atom_site_fract_y
_atom_site_fract_z
_atom_site_occupancy
Li1 Li 0.0000 0.0000 0.0000 1
Pm1 Pm 0.0000 0.0000 0.3286 1
Pm2 Pm 0.3333 0.6667 0.0000 1
Pm3 Pm 0.3333 0.6667 0.5000 1
Pb1 Pb 0.0000 0.5000 0.2471 1
```

Most intense lines, 5 to 70 degrees two-theta, sorted by position:
index, 2θ (°), I_rel
1 0 0, 15.30, 21
0 0 2, 16.69, 22
2 0 0, 30.88, 38
1 1 2, 31.62, 33
0 0 4, 33.75, 19
2 0 2, 35.30, 100
1 0 4, 37.25, 20
2 2 0, 54.92, 23

=====

Structure and computed XRD peak list of Li2TbPm2Pb2 (a cell relaxed with PBE; CuKα).

Structural model:
```
data_Li2TbPm2Pb2
_cell_length_a 4.8528
_cell_length_b 4.8528
_cell_length_c 27.6134
_cell_angle_alpha 90.00
_cell_angle_beta 90.00
_cell_angle_gamma 120.00
_space_group_name_H-M_alt 'R -3 m'
_space_group_IT_number 166
_space_group_name_Hall '-R 3 2"'
loop_
_atom_site_label
_atom_site_type_symbol
_atom_site_fract_x
_atom_site_fract_y
_atom_site_fract_z
_atom_site_occupancy
Li1 Li 0.0000 0.0000 0.1023 1
Tb1 Tb 0.0000 0.0000 0.5000 1
Pm1 Pm 0.0000 0.0000 0.3718 1
Pb1 Pb 0.0000 0.0000 0.2334 1
```

Most intense lines, 5 to 70 degrees two-theta, sorted by position:
index, 2θ (°), I_rel
1 0 1, 21.39, 52
0 1 2, 22.11, 30
1 0 7, 31.09, 93
0 1 8, 33.60, 90
1 1 0, 37.05, 100
2 0 8, 50.87, 28
1 1 15, 63.43, 39
1 2 8, 64.59, 28

=====

Structure and computed XRD peak list of LiPr2Pb (a cell relaxed with PBE; CuKα).

Structural model:
```
data_LiPr2Pb
_cell_length_a 5.075
_cell_length_b 5.075
_cell_length_c 4.533
_cell_angle_alpha 90.00
_cell_angle_beta 90.00
_cell_angle_gamma 90.00
_space_group_name_H-M_alt 'P 4/m m m'
_space_group_IT_number 123
_space_group_name_Hall '-P 4 2'
loop_
_atom_site_label
_atom_site_type_symbol
_atom_site_fract_x
_atom_site_fract_y
_atom_site_fract_z
_atom_site_occupancy
Li1 Li 0.000 0.000 0.000 1
Pr1 Pr 0.000 0.500 0.500 1
Pb1 Pb 0.500 0.500 0.000 1
```

Most intense lines, 5 to 70 degrees two-theta, sorted by position:
index, 2θ (°), I_rel
1 0 0, 17.47, 34
1 0 1, 26.36, 26
1 1 1, 31.80, 100
2 0 0, 35.37, 38
0 0 2, 39.75, 23
2 0 2, 54.26, 24
3 1 1, 61.27, 31
2 2 2, 66.45, 14

=====

Structure and computed XRD peak list of SrLi2PrPb2 (a cell relaxed with PBE; CuKα).

Structural model:
```
data_SrLi2PrPb2
_cell_length_a 4.9674
_cell_length_b 4.9674
_cell_length_c 8.0056
_cell_angle_alpha 90.00
_cell_angle_beta 90.00
_cell_angle_gamma 120.00
_space_group_name_H-M_alt 'P -3 m 1'
_space_group_IT_number 164
_space_group_name_Hall '-P 3 2"'
loop_
_atom_site_label
_atom_site_type_symbol
_atom_site_fract_x
_atom_site_fract_y
_atom_site_fract_z
_atom_site_occupancy
Sr1 Sr 0.0000 0.0000 0.0000 1
Li1 Li 0.3333 0.6667 0.7106 1
Pr1 Pr 0.0000 0.0000 0.5000 1
Pb1 Pb 0.3333 0.6667 0.2800 1
```

Most intense lines, 5 to 70 degrees two-theta, sorted by position:
index, 2θ (°), I_rel
1 0 1, 23.48, 100
1 0 2, 30.50, 90
1 1 0, 36.17, 62
0 1 3, 39.75, 26
0 2 1, 43.57, 20
0 2 2, 48.02, 26
1 1 4, 59.30, 20
2 1 2, 61.56, 25

=====

Structure and computed XRD peak list of RbLiPb3 (a cell relaxed with PBE; CuKα).

Structural model:
```
data_RbLiPb3
_cell_length_a 5.022
_cell_length_b 5.037
_cell_length_c 13.108
_cell_angle_alpha 90.00
_cell_angle_beta 90.00
_cell_angle_gamma 90.00
_space_group_name_H-M_alt 'I m m 2'
_space_group_IT_number 44
_space_group_name_Hall 'I 2 -2'
loop_
_atom_site_label
_atom_site_type_symbol
_atom_site_fract_x
_atom_site_fract_y
_atom_site_fract_z
_atom_site_occupancy
Rb1 Rb 0.000 0.000 0.000 1
Li1 Li 0.000 0.000 0.621 1
Pb1 Pb 0.000 0.000 0.397 1
Pb2 Pb 0.000 0.500 0.246 1
Pb3 Pb 0.000 0.500 0.745 1
```

Most intense lines, 5 to 70 degrees two-theta, sorted by position:
index, 2θ (°), I_rel
0 0 2, 13.51, 38
1 0 1, 18.90, 15
1 0 3, 27.03, 20
1 1 2, 28.56, 100
0 2 0, 35.65, 20
2 0 0, 35.76, 20
1 1 4, 37.31, 36
2 2 0, 51.38, 14

=====

Structure and computed XRD peak list of Rb3Li2Pb9 (a cell relaxed with PBE; CuKα).

Structural model:
```
data_Rb3Li2Pb9
_cell_length_a 5.058
_cell_length_b 12.887
_cell_length_c 14.361
_cell_angle_alpha 90.00
_cell_angle_beta 90.00
_cell_angle_gamma 90.00
_space_group_name_H-M_alt 'I m m m'
_space_group_IT_number 71
_space_group_name_Hall '-I 2 2'
loop_
_atom_site_label
_atom_site_type_symbol
_atom_site_fract_x
_atom_site_fract_y
_atom_site_fract_z
_atom_site_occupancy
Rb1 Rb 0.000 0.000 0.000 1
Rb2 Rb 0.000 0.000 0.277 1
Li1 Li 0.000 0.143 0.500 1
Pb1 Pb 0.000 0.299 0.146 1
Pb2 Pb 0.000 0.344 0.377 1
Pb3 Pb 0.000 0.500 0.000 1
```

Most intense lines, 5 to 70 degrees two-theta, sorted by position:
index, 2θ (°), I_rel
1 1 0, 18.85, 42
1 3 0, 27.24, 100
0 2 4, 28.46, 69
1 2 3, 29.19, 46
1 4 1, 33.57, 38
2 0 0, 35.50, 50
1 3 4, 37.16, 74
2 2 4, 46.11, 38

=====

Structure and computed XRD peak list of RbLiPbS2 (a cell relaxed with PBE; CuKα).

Structural model:
```
data_RbLiPbS2
_cell_length_a 15.508
_cell_length_b 4.291
_cell_length_c 9.187
_cell_angle_alpha 90.00
_cell_angle_beta 90.33
_cell_angle_gamma 90.00
_space_group_name_H-M_alt 'C 1 2/m 1'
_space_group_IT_number 12
_space_group_name_Hall '-C 2y'
loop_
_atom_site_label
_atom_site_type_symbol
_atom_site_fract_x
_atom_site_fract_y
_atom_site_fract_z
_atom_site_occupancy
Rb1 Rb 0.176 0.000 0.184 1
Li1 Li 0.197 0.000 0.565 1
Pb1 Pb 0.059 0.500 0.715 1
S1 S 0.143 0.500 0.465 1
S2 S 0.153 0.000 0.824 1
```

Most intense lines, 5 to 70 degrees two-theta, sorted by position:
index, 2θ (°), I_rel
2 0 -1, 14.92, 74
0 0 2, 19.32, 100
1 1 0, 21.49, 67
1 1 -1, 23.58, 93
4 0 -1, 24.88, 67
4 0 1, 24.98, 70
3 1 1, 28.75, 80
3 1 2, 33.48, 75

=====

Structure and computed XRD peak list of RbLiZnPbSe (a cell relaxed with PBE; CuKα).

Structural model:
```
data_RbLiZnPbSe
_cell_length_a 3.743
_cell_length_b 3.743
_cell_length_c 18.506
_cell_angle_alpha 90.00
_cell_angle_beta 90.00
_cell_angle_gamma 90.00
_space_group_name_H-M_alt 'I 4 m m'
_space_group_IT_number 107
_space_group_name_Hall 'I 4 -2'
loop_
_atom_site_label
_atom_site_type_symbol
_atom_site_fract_x
_atom_site_fract_y
_atom_site_fract_z
_atom_site_occupancy
Rb1 Rb 0.000 0.000 0.000 1
Li1 Li 0.000 0.000 0.833 1
Zn1 Zn 0.000 0.000 0.245 1
Pb1 Pb 0.000 0.000 0.663 1
Se1 Se 0.000 0.000 0.376 1
```

Most intense lines, 5 to 70 degrees two-theta, sorted by position:
index, 2θ (°), I_rel
0 0 2, 9.56, 38
0 0 4, 19.18, 17
1 0 3, 27.88, 100
1 1 0, 33.87, 54
1 0 5, 34.06, 27
1 0 7, 41.83, 29
2 0 0, 48.65, 19
2 1 3, 57.00, 27

=====

Structure and computed XRD peak list of RbLiZnPbSe (a cell relaxed with PBE; CuKα).

Structural model:
```
data_RbLiZnPbSe
_cell_length_a 3.916
_cell_length_b 4.084
_cell_length_c 17.273
_cell_angle_alpha 90.00
_cell_angle_beta 90.00
_cell_angle_gamma 90.00
_space_group_name_H-M_alt 'I m m 2'
_space_group_IT_number 44
_space_group_name_Hall 'I 2 -2'
loop_
_atom_site_label
_atom_site_type_symbol
_atom_site_fract_x
_atom_site_fract_y
_atom_site_fract_z
_atom_site_occupancy
Rb1 Rb 0.000 0.000 0.000 1
Li1 Li 0.000 0.500 0.301 1
Zn1 Zn 0.000 0.500 0.787 1
Pb1 Pb 0.000 0.000 0.666 1
Se1 Se 0.000 0.000 0.382 1
```

Most intense lines, 5 to 70 degrees two-theta, sorted by position:
index, 2θ (°), I_rel
1 0 1, 23.29, 37
0 1 3, 26.76, 100
1 0 3, 27.55, 65
1 1 0, 31.66, 39
1 1 4, 38.05, 46
1 1 6, 44.95, 34
1 2 3, 53.02, 26
2 1 3, 54.35, 28

=====

Structure and computed XRD peak list of LiPbS (a cell relaxed with PBE; CuKα).

Structural model:
```
data_LiPbS
_cell_length_a 3.597
_cell_length_b 3.620
_cell_length_c 10.287
_cell_angle_alpha 90.00
_cell_angle_beta 90.00
_cell_angle_gamma 90.00
_space_group_name_H-M_alt 'P m m n'
_space_group_IT_number 59
loop_
_space_group_symop_operation_xyz
'x,y,z'
'-x,-y,-z'
'-x+1/2,-y+1/2,z'
'x+1/2,y+1/2,-z'
'x+1/2,-y,-z'
'-x+1/2,y,z'
'-x,y+1/2,-z'
'x,-y+1/2,z'
loop_
_atom_site_label
_atom_site_type_symbol
_atom_site_fract_x
_atom_site_fract_y
_atom_site_fract_z
_atom_site_occupancy
Li1 Li 0.250 0.250 0.094 1
Pb1 Pb 0.250 0.750 0.356 1
S1 S 0.250 0.250 0.850 1
```

Most intense lines, 5 to 70 degrees two-theta, sorted by position:
index, 2θ (°), I_rel
0 0 1, 8.60, 100
0 1 1, 26.10, 63
1 0 1, 26.25, 33
0 1 2, 30.19, 37
1 0 2, 30.32, 64
1 1 1, 36.26, 40
1 1 3, 44.25, 43
0 1 5, 51.09, 25